1.
Diffraction record for Sr2NbWO6. The XRD peak list is theoretical, not measured: it uses DFT lattice parameters and positions (PBE+U) and CuKα.
Kinematic intensities with the Lorentz-polarization factor, no thermal factor.

Structure:
Lattice parameters (Å, degrees): 8.2429 8.2429 8.2429 90.00 90.00 90.00
Space group Fm-3m (No. 225)
Asymmetric unit:
Sr 0.2500 0.2500 0.2500 [8 per cell]
Nb 0.0000 0.0000 0.0000 [4 per cell]
W 0.0000 0.0000 0.5000 [4 per cell]
O 0.0000 0.0000 0.2432 [24 per cell]

Main lines, most intense first (2θ = 10–80°):
2θ = 30.68°, intensity 1000; 2θ = 54.54°, intensity 403; 2θ = 43.94°, intensity 314; 2θ = 63.88°, intensity 194; 2θ = 72.53°, intensity 176; 2θ = 21.56°, intensity 128

2.
Diffraction record for Ta3NbV4O20. The XRD peak list is theoretical, not measured: it uses DFT lattice parameters and positions (PBE+U) and CuKα.
Kinematic intensities with the Lorentz-polarization factor, no thermal factor.

Structure:
Lattice parameters (Å, degrees): 7.0711 5.6282 12.0610 90.00 90.08 90.00
Space group Pm (No. 6)
Asymmetric unit:
Ta 0.0000 0.0000 0.0000 [1 per cell]
Ta 0.1821 0.0000 0.5012 [1 per cell]
Ta 0.4968 0.5000 0.6158 [1 per cell]
Nb 0.6848 0.5000 0.1155 [1 per cell]
V 0.3069 0.5000 0.9024 [1 per cell]
V 0.3701 0.0000 0.2146 [1 per cell]
V 0.8067 0.0000 0.7141 [1 per cell]
V 0.8713 0.5000 0.4038 [1 per cell]
O 0.0141 0.0000 0.6347 [1 per cell]
O 0.1621 0.0000 0.1344 [1 per cell]
O 0.1786 0.2481 0.9333 [2 per cell]
O 0.3113 0.0000 0.3569 [1 per cell]
O 0.3389 0.2501 0.5589 [2 per cell]
O 0.3656 0.5000 0.7610 [1 per cell]
O 0.4973 0.2507 0.1842 [2 per cell]
O 0.5136 0.5000 0.9812 [1 per cell]
O 0.6633 0.5000 0.4827 [1 per cell]
O 0.6787 0.2518 0.6834 [2 per cell]
O 0.8131 0.5000 0.2621 [1 per cell]
O 0.8392 0.2492 0.0581 [2 per cell]
O 0.8656 0.0000 0.8557 [1 per cell]
O 0.9990 0.2482 0.4342 [2 per cell]

Main lines, most intense first (2θ = 10–80°):
2θ = 20.17°, intensity 1000; 2θ = 21.48°, intensity 790; 2θ = 19.34°, intensity 762; 2θ = 25.04°, intensity 723; 2θ = 14.69°, intensity 653; 2θ = 30.77°, intensity 646